Starting from a crystal structure in the Materials Project, relaxed with PBE, the powder X-ray diffraction pattern of GaN was calculated for CuKα.

Largest 6 diffraction maxima, by angle, 2θ = 15–90°:
d/Å	2θ/deg	I_rel
2.624	34.17	100
2.273	39.66	33
1.607	57.33	41
1.371	68.46	37
1.312	71.96	8
1.136	85.44	6

Structure:
a = 4.546 Å, b = 4.546 Å, c = 4.546 Å
α = 90.00°, β = 90.00°, γ = 90.00°
Element x y z (fractional)
Ga: 0.000 0.000 0.000
Ga: 0.000 0.500 0.500
Ga: 0.500 0.000 0.500
Ga: 0.500 0.500 0.000
N: 0.250 0.250 0.750
N: 0.250 0.750 0.250
N: 0.750 0.250 0.250
N: 0.750 0.750 0.750